Starting from a crystal structure in OQMD, relaxed with GGA-PBE, the powder diffractogram of Na2GdTe2 was calculated for Cu Kα, 1.54184 Å.
Kinematic intensities with the Lorentz-polarization factor, no thermal factor.

Main lines, in order of rising 2θ (2θ = 10–80°):
d/Å	I_rel
8.542	48.8
5.700	54.8
4.271	60.3
3.022	100.0
2.995	77.6
2.366	68.9
2.128	58.8
1.586	35.9

```
data_Na2GdTe2
_cell_length_a 9.5434
_cell_length_b 9.5434
_cell_length_c 9.5434
_cell_angle_alpha 143.42
_cell_angle_beta 143.06
_cell_angle_gamma 52.97
_symmetry_space_group_name_H-M 'P 1'
_symmetry_Int_Tables_number 1
loop_
_symmetry_equiv_pos_as_xyz
'x,y,z'
loop_
_atom_site_label
_atom_site_type_symbol
_atom_site_fract_x
_atom_site_fract_y
_atom_site_fract_z
Na1 Na 0.2850 0.0350 0.2500
Na2 Na 0.4551 0.2051 0.2500
Na3 Na 0.5449 0.7949 0.7500
Na4 Na 0.7150 0.9650 0.7500
Gd1 Gd 0.0761 0.3261 0.7500
Gd2 Gd 0.9239 0.6739 0.2500
Te1 Te 0.1045 0.8545 0.2500
Te2 Te 0.3662 0.6162 0.7500
Te3 Te 0.6338 0.3838 0.2500
Te4 Te 0.8955 0.1455 0.7500
```